# TmCu3Ni4O12
Simulated powder diffractogram, λ = 1.5418 Å (Cu Kα). Input: the PBE+U geometry in Alexandria.
Lines closer than 0.1° are merged.

Peak list (6 most intense, 2θ from 10° to 80°, by angle)
d = 5.137 Å, 17.3°, intensity 16; d = 2.568 Å, 34.9°, intensity 100; d = 1.942 Å, 46.8°, intensity 10; d = 1.816 Å, 50.2°, intensity 24; d = 1.483 Å, 62.6°, intensity 46; d = 1.284 Å, 73.8°, intensity 12

```
TmCu3Ni4O12
1.0
-3.632 3.632 3.632
3.632 -3.632 3.632
3.632 3.632 -3.632
Tm Cu Ni O
1 3 4 12
direct
0.000 0.000 0.000
0.000 0.500 0.500
0.500 0.000 0.500
0.500 0.500 0.000
0.000 0.000 0.500
0.000 0.500 0.000
0.500 0.000 0.000
0.500 0.500 0.500
0.137 0.832 0.305
0.168 0.305 0.472
0.168 0.695 0.863
0.305 0.137 0.832
0.305 0.472 0.168
0.472 0.168 0.305
0.528 0.832 0.695
0.695 0.528 0.832
0.695 0.863 0.168
0.832 0.305 0.137
0.832 0.695 0.528
0.863 0.168 0.695
```